(1)
Diffraction record for Ti3InH. The powder XRD pattern is theoretical, not measured: it uses a GGA-PBE-relaxed structure and Cu Kα, 1.54184 Å.
Kinematic intensities with the Lorentz-polarization factor, no thermal factor.

Crystal structure
```
Ti3InH
1.0
3.1291 -4.9121 0.0000
3.1291 4.9121 0.0000
0.0000 0.0000 4.8154
Ti In H
6 2 2
Direct
0.1409 0.8591 0.7500
0.1812 0.3665 0.7496
0.3665 0.1812 0.2504
0.6335 0.8188 0.7504
0.8188 0.6335 0.2496
0.8591 0.1409 0.2500
0.3279 0.6721 0.2500
0.6721 0.3279 0.7500
0.0908 0.0908 0.0000
0.9092 0.9092 0.5000
```

Largest 10 diffraction maxima, in order of rising 2θ, 10° ≤ 2θ ≤ 90°:
2θ/deg  I_rel
25.03  21
30.82  11
33.97  17
36.59  13
37.35  36
38.91  100
41.26  34
64.20  10
68.41  17
76.70  13

(2)
Diffraction record for TbEr2TaO8. The powder XRD pattern is theoretical, not measured: it uses a GGA-PBE-relaxed structure and Cu Kα, 1.54184 Å.
Kinematic intensities with the Lorentz-polarization factor, no thermal factor.

Crystal structure
```
TbEr2TaO8
1.0
3.5551 -3.5869 0.0000
3.5551 3.5869 0.0000
0.0000 0.0000 6.8486
Tb Er Ta O
1 2 1 8
Direct
0.0000 0.0000 0.0000
0.5000 0.5000 0.2522
0.5000 0.5000 0.7478
0.0000 0.0000 0.5000
0.1868 0.8132 0.2818
0.1868 0.8132 0.7182
0.2820 0.2820 0.5000
0.3110 0.3110 0.0000
0.6890 0.6890 0.0000
0.7180 0.7180 0.5000
0.8132 0.1868 0.2818
0.8132 0.1868 0.7182
```

Largest 10 diffraction maxima, in order of rising 2θ, 10° ≤ 2θ ≤ 90°:
2θ/deg  I_rel
24.82  56
25.05  54
31.57  100
35.55  30
48.14  39
48.40  38
57.90  10
59.86  10
61.37  22
65.91  11

(3)
Diffraction record for Ac4GeTe3. The powder XRD pattern is theoretical, not measured: it uses a GGA-PBE-relaxed structure and Cu Kα, 1.54184 Å.
Kinematic intensities with the Lorentz-polarization factor, no thermal factor.

Crystal structure
```
Ac4GeTe3
1.0
-3.3300 3.3300 6.6894
3.3300 -3.3300 6.6894
3.3300 3.3300 -6.6894
Ac Ge Te
4 1 3
Direct
0.0000 0.5000 0.5000
0.2359 0.2359 0.0000
0.5000 0.0000 0.5000
0.7641 0.7641 0.0000
0.0000 0.0000 0.0000
0.2500 0.7500 0.5000
0.5000 0.5000 0.0000
0.7500 0.2500 0.5000
```

Largest 10 diffraction maxima, in order of rising 2θ, 10° ≤ 2θ ≤ 90°:
2θ/deg  I_rel
23.10  25
26.65  42
26.77  87
38.16  100
47.21  36
55.16  12
62.11  14
62.32  33
69.04  24
87.76  11

(4)
Diffraction record for PrNd12Cd3. The powder XRD pattern is theoretical, not measured: it uses a GGA-PBE-relaxed structure and Cu Kα, 1.54184 Å.
Kinematic intensities with the Lorentz-polarization factor, no thermal factor.

Crystal structure
```
PrNd12Cd3
1.0
5.0227 0.0000 0.0000
0.0000 5.0227 0.0000
0.0000 0.0000 20.3819
Pr Nd Cd
1 12 3
Direct
0.0000 0.0000 0.0000
0.0000 0.5000 0.1323
0.0000 0.5000 0.3780
0.0000 0.5000 0.6220
0.0000 0.5000 0.8677
0.5000 0.0000 0.1323
0.5000 0.0000 0.3780
0.5000 0.0000 0.6220
0.5000 0.0000 0.8677
0.5000 0.5000 0.0000
0.5000 0.5000 0.2560
0.5000 0.5000 0.5000
0.5000 0.5000 0.7440
0.0000 0.0000 0.2576
0.0000 0.0000 0.5000
0.0000 0.0000 0.7424
```

Largest 10 diffraction maxima, in order of rising 2θ, 10° ≤ 2θ ≤ 90°:
2θ/deg  I_rel
30.69  100
35.23  16
35.75  34
51.07  23
51.46  12
60.41  12
61.12  28
63.90  11
83.29  10
83.91  6

(5)
Diffraction record for Ba3Hg3Pb8. The powder XRD pattern is theoretical, not measured: it uses a GGA-PBE-relaxed structure and Cu Kα, 1.54184 Å.
Kinematic intensities with the Lorentz-polarization factor, no thermal factor.

Crystal structure
```
Ba3Hg3Pb8
1.0
-2.6579 6.1124 7.3953
2.6579 -6.1124 7.3953
2.6579 6.1124 -7.3953
Ba Hg Pb
3 3 8
Direct
0.0000 0.0000 0.0000
0.3063 0.3063 0.0000
0.6937 0.6937 0.0000
0.3367 0.5000 0.8367
0.5000 0.0000 0.5000
0.6633 0.5000 0.1633
0.0021 0.6380 0.3641
0.1300 0.8475 0.2824
0.2738 0.6380 0.6359
0.4349 0.1525 0.2824
0.5651 0.8475 0.7176
0.7262 0.3620 0.3641
0.8700 0.1525 0.7176
0.9979 0.3620 0.6359
```

Largest 10 diffraction maxima, in order of rising 2θ, 10° ≤ 2θ ≤ 90°:
2θ/deg  I_rel
27.58  26
28.69  100
30.16  41
30.34  31
33.72  60
34.39  56
36.45  27
36.92  60
50.50  22
55.64  35

Q: What is the formula in the third record?
A: Ac4GeTe3